Diffraction record for UFeO4. The powder diffraction line list is calculated, not measured: it uses a structure optimized by DFT (PBE+U) and a wavelength of 1.5418 Å.

Structural model:
Cell: 4.908 12.127 5.300 Å, 90.00 90.00 90.00°
Space group Pbcn (No. 60)
Unique sites:
U  0.000  0.175  0.250 [4 per cell]
Fe  0.000  0.442  0.250 [4 per cell]
O  0.219  0.304  0.094 [8 per cell]
O  0.250  0.065  0.093 [8 per cell]

Peak list (12 most intense, 15° ≤ 2θ ≤ 90°, low angle first)
d_spacing, I (rel.), (hkl)
3.991, 28, 0 2 1
3.452, 100, 1 1 1
3.120, 45, 1 3 0
2.650, 17, 0 0 2
2.632, 27, 0 4 1
2.020, 32, 1 3 2
1.801, 15, 2 0 2
1.795, 29, 2 4 1
1.647, 11, 1 1 3
1.561, 17, 1 7 1
1.516, 10, 0 8 0
1.160, 10, 2 8 2